Starting from a crystal structure in OQMD, relaxed with GGA-PBE, the powder XRD pattern of Dy2H2I3Br was simulated for copper Kα.
Neutral-atom scattering factors, no anomalous dispersion.

Structure:
Cell: 3.9557 3.9557 15.7795 Å, 90.00 90.00 120.00°
Space group P3m1 (No. 156)
One atom of each set of equivalent atoms:
Dy 0.0000 0.0000 0.0000
Dy 0.0000 0.0000 0.4944
H 0.3333 0.6667 0.4977
H 0.6667 0.3333 0.9997
I 0.3333 0.6667 0.1347
I 0.3333 0.6667 0.8652
I 0.6667 0.3333 0.6295
Br 0.6667 0.3333 0.3761

Main lines, by intensity (10° ≤ 2θ ≤ 90°):
- 34.68 deg, I = 100
- 11.21 deg, I = 68
- 28.40 deg, I = 66
- 26.63 deg, I = 49
- 45.88 deg, I = 47
- 31.16 deg, I = 45
- 67.01 deg, I = 27
- 58.77 deg, I = 22
- 77.61 deg, I = 19
- 48.33 deg, I = 15

Starting from a crystal structure in OQMD, relaxed with GGA-PBE, the powder XRD pattern of TmCoOs was simulated for copper Kα.
Neutral-atom scattering factors, no anomalous dispersion.

Structure:
Cell: 5.086 5.173 7.382 Å, 90.00 90.00 90.00°
Space group Imma (No. 74)
One atom of each set of equivalent atoms:
Tm 0.000 0.250 0.123
Co 0.000 0.000 0.500
Os 0.250 0.250 0.750

Main lines, by intensity (10° ≤ 2θ ≤ 90°):
- 41.41 deg, I = 100
- 34.68 deg, I = 87
- 40.60 deg, I = 55
- 73.17 deg, I = 43
- 41.01 deg, I = 37
- 43.20 deg, I = 31
- 42.69 deg, I = 30
- 66.76 deg, I = 25
- 62.15 deg, I = 24
- 40.73 deg, I = 18

Starting from a crystal structure in OQMD, relaxed with GGA-PBE, the powder XRD pattern of TbPrB4 was simulated for copper Kα.
Neutral-atom scattering factors, no anomalous dispersion.

Structure:
Cell: 3.323 5.761 8.095 Å, 90.00 90.00 90.00°
Space group Immm (No. 71)
One atom of each set of equivalent atoms:
Tb 0.000 0.000 0.000
Pr 0.000 0.000 0.500
B 0.000 0.334 0.252

Main lines, by intensity (10° ≤ 2θ ≤ 90°):
- 38.37 deg, I = 100
- 31.06 deg, I = 71
- 21.96 deg, I = 48
- 55.50 deg, I = 28
- 60.18 deg, I = 20
- 55.26 deg, I = 19
- 69.28 deg, I = 17
- 73.76 deg, I = 16
- 78.25 deg, I = 12
- 44.78 deg, I = 12

Starting from a crystal structure in OQMD, relaxed with GGA-PBE, the powder XRD pattern of Sc2Ge3W4C3 was simulated for copper Kα.
Neutral-atom scattering factors, no anomalous dispersion.

Structure:
Cell: 9.514 5.523 13.325 Å, 90.00 103.80 90.00°
Space group C2/c (No. 15)
One atom of each set of equivalent atoms:
Sc 0.046 0.082 0.394
Ge 0.000 0.467 0.250
Ge 0.190 0.103 0.750
W 0.110 0.409 0.582
W 0.227 0.421 0.918
C 0.084 0.250 0.000
C 0.250 0.250 0.500

Main lines, by intensity (10° ≤ 2θ ≤ 90°):
- 38.83 deg, I = 100
- 38.72 deg, I = 51
- 41.89 deg, I = 25
- 32.56 deg, I = 24
- 18.72 deg, I = 22
- 57.92 deg, I = 20
- 74.43 deg, I = 20
- 13.69 deg, I = 17
- 74.00 deg, I = 17
- 19.19 deg, I = 15

Starting from a crystal structure in OQMD, relaxed with GGA-PBE, the powder XRD pattern of CsPtAu3S4 was simulated for copper Kα.
Neutral-atom scattering factors, no anomalous dispersion.

Structure:
Cell: 6.366 6.366 6.366 Å, 90.00 90.00 90.00°
Space group P-43m (No. 215)
One atom of each set of equivalent atoms:
Cs 0.000 0.000 0.000
Pt 0.500 0.500 0.500
Au 0.000 0.500 0.500
S 0.291 0.291 0.291

Main lines, by intensity (10° ≤ 2θ ≤ 90°):
- 40.06 deg, I = 100
- 28.03 deg, I = 79
- 24.22 deg, I = 71
- 13.91 deg, I = 54
- 47.37 deg, I = 36
- 65.59 deg, I = 34
- 72.78 deg, I = 32
- 49.61 deg, I = 25
- 31.42 deg, I = 20
- 57.95 deg, I = 16

Starting from a crystal structure in OQMD, relaxed with GGA-PBE, the powder XRD pattern of Ho2TmAl3Cu2Pd was simulated for copper Kα.
Neutral-atom scattering factors, no anomalous dispersion.

Structure:
Cell: 4.068 12.116 6.990 Å, 90.00 90.00 90.00°
Space group Amm2 (No. 38)
One atom of each set of equivalent atoms:
Ho 0.000 0.209 0.000
Tm 0.000 0.000 0.373
Al 0.500 0.000 0.031
Al 0.500 0.120 0.670
Cu 0.500 0.165 0.291
Pd 0.000 0.000 0.789

Main lines, by intensity (10° ≤ 2θ ≤ 90°):
- 37.01 deg, I = 100
- 33.80 deg, I = 74
- 29.50 deg, I = 38
- 21.85 deg, I = 32
- 25.48 deg, I = 29
- 59.55 deg, I = 29
- 39.36 deg, I = 24
- 44.54 deg, I = 23
- 54.64 deg, I = 20
- 45.47 deg, I = 19

Starting from a crystal structure in OQMD, relaxed with GGA-PBE, the powder XRD pattern of NdAlF5 was simulated for copper Kα.
Neutral-atom scattering factors, no anomalous dispersion.

Structure:
Cell: 8.417 6.504 6.954 Å, 90.00 113.84 90.00°
Space group C2/c (No. 15)
One atom of each set of equivalent atoms:
Nd 0.000 0.013 0.250
Al 0.000 0.500 0.000
F 0.000 0.394 0.250
F 0.096 0.273 0.966
F 0.210 0.386 0.637

Main lines, by intensity (10° ≤ 2θ ≤ 90°):
- 29.12 deg, I = 100
- 23.10 deg, I = 76
- 17.85 deg, I = 68
- 37.67 deg, I = 48
- 55.47 deg, I = 41
- 36.16 deg, I = 39
- 27.42 deg, I = 33
- 39.64 deg, I = 30
- 37.34 deg, I = 26
- 28.27 deg, I = 20

Starting from a crystal structure in OQMD, relaxed with GGA-PBE, the powder XRD pattern of YCdInSe3 was simulated for copper Kα.
Neutral-atom scattering factors, no anomalous dispersion.

Structure:
Cell: 4.233 14.420 11.116 Å, 90.00 90.00 90.00°
Space group Cmcm (No. 63)
One atom of each set of equivalent atoms:
Y 0.000 0.000 0.000
Cd 0.000 0.458 0.250
In 0.000 0.252 0.750
Se 0.000 0.075 0.250
Se 0.000 0.366 0.047

Main lines, by intensity (10° ≤ 2θ ≤ 90°):
- 29.24 deg, I = 100
- 32.46 deg, I = 56
- 32.21 deg, I = 45
- 50.08 deg, I = 32
- 40.93 deg, I = 30
- 42.73 deg, I = 30
- 41.21 deg, I = 26
- 37.28 deg, I = 24
- 54.49 deg, I = 24
- 12.28 deg, I = 22

Starting from a crystal structure in OQMD, relaxed with GGA-PBE, the powder XRD pattern of Na2Fe2Os3 was simulated for copper Kα.
Neutral-atom scattering factors, no anomalous dispersion.

Structure:
Cell: 4.2650 4.2650 23.6829 Å, 90.00 90.00 120.00°
Space group R3m (No. 160, hexagonal axes)
One atom of each set of equivalent atoms:
Na 0.0000 0.0000 0.0000
Na 0.0000 0.0000 0.3948
Fe 0.0000 0.0000 0.1440
Fe 0.0000 0.0000 0.6162
Os 0.0000 0.0000 0.2497
Os 0.0000 0.0000 0.5169
Os 0.0000 0.0000 0.8525

Main lines, by intensity (10° ≤ 2θ ≤ 90°):
- 11.21 deg, I = 100
- 42.39 deg, I = 30
- 43.98 deg, I = 22
- 38.99 deg, I = 19
- 36.00 deg, I = 10
- 30.70 deg, I = 9
- 58.95 deg, I = 6
- 48.97 deg, I = 6
- 75.26 deg, I = 5
- 64.31 deg, I = 5

Starting from a crystal structure in OQMD, relaxed with GGA-PBE, the powder XRD pattern of CsSiAgS3 was simulated for copper Kα.
Neutral-atom scattering factors, no anomalous dispersion.

Structure:
Cell: 15.436 3.686 10.295 Å, 90.00 90.00 90.00°
Space group Pnma (No. 62)
One atom of each set of equivalent atoms:
Cs 0.229 0.250 0.029
Si 0.012 0.250 0.355
Ag 0.028 0.750 0.084
S 0.075 0.250 0.555
S 0.076 0.750 0.821
S 0.106 0.750 0.293

Main lines, by intensity (10° ≤ 2θ ≤ 90°):
- 31.09 deg, I = 100
- 10.33 deg, I = 68
- 17.23 deg, I = 50
- 37.66 deg, I = 42
- 28.92 deg, I = 39
- 23.05 deg, I = 37
- 26.32 deg, I = 31
- 34.64 deg, I = 30
- 30.22 deg, I = 26
- 11.47 deg, I = 25

Starting from a crystal structure in OQMD, relaxed with GGA-PBE, the powder XRD pattern of ScFeCo2Sb2 was simulated for copper Kα.
Neutral-atom scattering factors, no anomalous dispersion.

Structure:
Cell: 4.216 8.305 5.937 Å, 90.00 90.00 90.00°
Space group Pmn2_1 (No. 31)
One atom of each set of equivalent atoms:
Sc 0.000 0.122 0.000
Fe 0.000 0.621 0.983
Co 0.000 0.388 0.730
Co 0.000 0.857 0.755
Sb 0.000 0.131 0.501
Sb 0.000 0.623 0.472

Main lines, by intensity (10° ≤ 2θ ≤ 90°):
- 43.17 deg, I = 100
- 26.19 deg, I = 33
- 30.21 deg, I = 32
- 25.92 deg, I = 30
- 42.91 deg, I = 27
- 43.59 deg, I = 24
- 78.82 deg, I = 23
- 50.97 deg, I = 16
- 30.10 deg, I = 15
- 62.82 deg, I = 15

Starting from a crystal structure in OQMD, relaxed with GGA-PBE, the powder XRD pattern of Mo3N2 was simulated for copper Kα.
Neutral-atom scattering factors, no anomalous dispersion.

Structure:
Cell: 2.8668 2.8668 23.9255 Å, 90.00 90.00 120.00°
Space group R-3m (No. 166, hexagonal axes)
One atom of each set of equivalent atoms:
Mo 0.0000 0.0000 0.0000
Mo 0.0000 0.0000 0.1180
N 0.0000 0.0000 0.2721

Main lines, by intensity (10° ≤ 2θ ≤ 90°):
- 36.38 deg, I = 100
- 47.60 deg, I = 68
- 33.72 deg, I = 46
- 45.14 deg, I = 41
- 65.07 deg, I = 30
- 75.33 deg, I = 27
- 53.16 deg, I = 18
- 78.05 deg, I = 14
- 36.98 deg, I = 13
- 84.50 deg, I = 13